No. 1
Theoretical X-ray powder pattern
Compound: CsNdCd2Br8
Radiation: Cu Kα
Structure: DFT lattice parameters and positions (PBE)
Peak positions follow from Bragg's law for the DFT cell and can differ from measured ones.

Atomic structure:
```
data_CsNdCd2Br8
_cell_length_a 7.095
_cell_length_b 7.231
_cell_length_c 10.142
_cell_angle_alpha 73.29
_cell_angle_beta 76.15
_cell_angle_gamma 74.69
_symmetry_space_group_name_H-M 'P -1'
_symmetry_Int_Tables_number 2
loop_
_symmetry_equiv_pos_as_xyz
'x,y,z'
'-x,-y,-z'
loop_
_atom_site_label
_atom_site_fract_x
_atom_site_fract_y
_atom_site_fract_z
Cs1 0.000 0.000 0.000
Nd1 0.000 0.000 0.500
Cd1 0.458 0.444 0.216
Br1 0.163 0.701 0.734
Br2 0.259 0.792 0.296
Br3 0.285 0.238 0.468
Br4 0.392 0.283 0.030
```

Main lines, in order of rising 2θ (10 to 90 degrees two-theta):
2θ 16.5, intensity 100.0, (1 1 0); 2θ 20.4, intensity 66.3, (1 -1 0); 2θ 25.2, intensity 45.8, (0 1 -2); 2θ 26.5, intensity 48.8, (2 0 1); 2θ 27.2, intensity 52.0, (-1 1 2); 2θ 37.6, intensity 78.2, (0 0 4)


No. 2
Theoretical X-ray powder pattern
Compound: Cs2NdCdBr6
Radiation: Cu Kα
Structure: DFT lattice parameters and positions (PBE)
Peak positions follow from Bragg's law for the DFT cell and can differ from measured ones.

Atomic structure:
```
data_Cs2NdCdBr6
_cell_length_a 8.395
_cell_length_b 11.844
_cell_length_c 8.392
_cell_angle_alpha 90.00
_cell_angle_beta 90.00
_cell_angle_gamma 90.00
_symmetry_space_group_name_H-M 'P m m n'
_symmetry_Int_Tables_number 59
loop_
_symmetry_equiv_pos_as_xyz
'x,y,z'
'-x,-y,-z'
'-x+1/2,-y+1/2,z'
'x+1/2,y+1/2,-z'
'x+1/2,-y,-z'
'-x+1/2,y,z'
'-x,y+1/2,-z'
'x,-y+1/2,z'
loop_
_atom_site_label
_atom_site_fract_x
_atom_site_fract_y
_atom_site_fract_z
Cs1 0.250 0.000 0.250
Nd1 0.250 0.250 0.749
Cd1 0.250 0.750 0.751
Br1 0.006 0.250 0.992
Br2 0.007 0.250 0.504
Br3 0.250 0.006 0.749
```

Main lines, in order of rising 2θ (10 to 90 degrees two-theta):
2θ 21.2, intensity 59.1, (2 0 0); 2θ 26.0, intensity 46.7, (2 2 0); 2θ 30.1, intensity 100.0, (2 0 2); 2θ 37.1, intensity 27.8, (2 4 0); 2θ 43.1, intensity 73.1, (4 0 0); 2θ 53.5, intensity 25.5, (4 4 0)


No. 3
Theoretical X-ray powder pattern
Compound: Cs2SmCdBr6
Radiation: Cu Kα
Structure: DFT lattice parameters and positions (PBE)
Peak positions follow from Bragg's law for the DFT cell and can differ from measured ones.

Atomic structure:
```
data_Cs2SmCdBr6
_cell_length_a 8.351
_cell_length_b 11.785
_cell_length_c 8.350
_cell_angle_alpha 90.00
_cell_angle_beta 90.00
_cell_angle_gamma 90.00
_symmetry_space_group_name_H-M 'P m m n'
_symmetry_Int_Tables_number 59
loop_
_symmetry_equiv_pos_as_xyz
'x,y,z'
'-x,-y,-z'
'-x+1/2,-y+1/2,z'
'x+1/2,y+1/2,-z'
'x+1/2,-y,-z'
'-x+1/2,y,z'
'-x,y+1/2,-z'
'x,-y+1/2,z'
loop_
_atom_site_label
_atom_site_fract_x
_atom_site_fract_y
_atom_site_fract_z
Cs1 0.250 0.000 0.249
Sm1 0.250 0.250 0.753
Cd1 0.250 0.750 0.747
Br1 0.006 0.250 0.512
Br2 0.009 0.250 0.997
Br3 0.250 0.007 0.752
```

Main lines, in order of rising 2θ (10 to 90 degrees two-theta):
2θ 21.3, intensity 60.7, (2 0 0); 2θ 26.2, intensity 45.3, (2 2 0); 2θ 30.3, intensity 100.0, (0 4 0); 2θ 37.3, intensity 28.3, (2 4 0); 2θ 43.4, intensity 72.8, (4 0 0); 2θ 53.8, intensity 25.3, (4 4 0)


No. 4
Theoretical X-ray powder pattern
Compound: Cs4TlCd3Br12
Radiation: Cu Kα
Structure: DFT lattice parameters and positions (PBE)
Peak positions follow from Bragg's law for the DFT cell and can differ from measured ones.

Atomic structure:
```
data_Cs4TlCd3Br12
_cell_length_a 11.367
_cell_length_b 11.367
_cell_length_c 11.367
_cell_angle_alpha 90.00
_cell_angle_beta 90.00
_cell_angle_gamma 90.00
_symmetry_space_group_name_H-M 'I m -3 m'
_symmetry_Int_Tables_number 229
_symmetry_space_group_name_Hall '-I 4 2 3'
loop_
_atom_site_label
_atom_site_fract_x
_atom_site_fract_y
_atom_site_fract_z
Cs1 0.250 0.250 0.250
Tl1 0.000 0.000 0.000
Cd1 0.000 0.000 0.500
Br1 0.000 0.000 0.258
Br2 0.000 0.250 0.500
```

Main lines, in order of rising 2θ (10 to 90 degrees two-theta):
2θ 22.1, intensity 62.5, (2 2 0); 2θ 27.2, intensity 43.5, (2 2 2); 2θ 31.5, intensity 100.0, (4 0 0); 2θ 38.8, intensity 28.9, (4 2 2); 2θ 45.1, intensity 72.1, (4 4 0); 2θ 74.7, intensity 31.7, (8 4 0)


No. 5
Theoretical X-ray powder pattern
Compound: Cs2TlCd2Br7
Radiation: Cu Kα
Structure: DFT lattice parameters and positions (PBE)
Peak positions follow from Bragg's law for the DFT cell and can differ from measured ones.

Atomic structure:
```
data_Cs2TlCd2Br7
_cell_length_a 7.922
_cell_length_b 7.923
_cell_length_c 28.622
_cell_angle_alpha 90.00
_cell_angle_beta 90.00
_cell_angle_gamma 90.00
_symmetry_space_group_name_H-M 'F m m m'
_symmetry_Int_Tables_number 69
_symmetry_space_group_name_Hall '-F 2 2'
loop_
_atom_site_label
_atom_site_fract_x
_atom_site_fract_y
_atom_site_fract_z
Cs1 0.000 0.000 0.178
Tl1 0.000 0.000 0.000
Cd1 0.000 0.000 0.402
Br1 0.000 0.000 0.307
Br2 0.000 0.000 0.500
Br3 0.250 0.250 0.090
```

Main lines, in order of rising 2θ (10 to 90 degrees two-theta):
2θ 22.2, intensity 45.7, (1 1 5); 2θ 22.4, intensity 56.0, (2 0 0); 2θ 29.3, intensity 83.6, (2 0 6); 2θ 32.0, intensity 100.0, (2 2 0); 2θ 45.3, intensity 44.4, (2 2 10); 2θ 45.8, intensity 36.1, (4 0 0)


No. 6
Theoretical X-ray powder pattern
Compound: CsUCdBr6
Radiation: Cu Kα
Structure: DFT lattice parameters and positions (PBE)
Peak positions follow from Bragg's law for the DFT cell and can differ from measured ones.

Atomic structure:
```
data_CsUCdBr6
_cell_length_a 7.5568
_cell_length_b 7.5568
_cell_length_c 7.9166
_cell_angle_alpha 90.00
_cell_angle_beta 90.00
_cell_angle_gamma 120.00
_symmetry_space_group_name_H-M 'P 3 1 2'
_symmetry_Int_Tables_number 149
loop_
_symmetry_equiv_pos_as_xyz
'x,y,z'
'-y,x-y,z'
'-x+y,-x,z'
'-y,-x,-z'
'-x+y,y,-z'
'x,x-y,-z'
loop_
_atom_site_label
_atom_site_fract_x
_atom_site_fract_y
_atom_site_fract_z
Cs1 0.0000 0.0000 0.0000
U1 0.3333 0.6667 0.5000
Cd1 0.6667 0.3333 0.5000
Br1 0.3851 0.0054 0.7091
```

Main lines, in order of rising 2θ (10 to 90 degrees two-theta):
2θ 11.2, intensity 45.8, (0 0 1); 2θ 17.6, intensity 100.0, (1 0 1); 2θ 26.1, intensity 57.6, (2 -1 1); 2θ 32.8, intensity 94.9, (2 -1 2); 2θ 38.1, intensity 34.7, (3 -1 1); 2θ 41.4, intensity 35.5, (3 0 0)


No. 7
Theoretical X-ray powder pattern
Compound: Cd3CuBr8
Radiation: Cu Kα
Structure: DFT lattice parameters and positions (PBE)
Peak positions follow from Bragg's law for the DFT cell and can differ from measured ones.

Atomic structure:
```
data_Cd3CuBr8
_cell_length_a 13.728
_cell_length_b 8.078
_cell_length_c 8.610
_cell_angle_alpha 90.00
_cell_angle_beta 125.26
_cell_angle_gamma 90.00
_symmetry_space_group_name_H-M 'C 1 2/m 1'
_symmetry_Int_Tables_number 12
loop_
_symmetry_equiv_pos_as_xyz
'x,y,z'
'-x,-y,-z'
'-x,y,-z'
'x,-y,z'
'x+1/2,y+1/2,z'
'-x+1/2,-y+1/2,-z'
'-x+1/2,y+1/2,-z'
'x+1/2,-y+1/2,z'
loop_
_atom_site_label
_atom_site_fract_x
_atom_site_fract_y
_atom_site_fract_z
Cd1 0.000 0.000 0.000
Cd2 0.250 0.250 0.000
Cu1 0.000 0.500 0.000
Br1 0.003 0.256 0.781
Br2 0.222 0.500 0.209
Br3 0.250 0.000 0.227
```

Main lines, in order of rising 2θ (10 to 90 degrees two-theta):
2θ 12.6, intensity 100.0, (0 0 1); 2θ 30.4, intensity 91.5, (2 2 -2); 2θ 31.9, intensity 39.2, (4 0 0); 2θ 39.0, intensity 21.9, (2 2 -3); 2θ 43.7, intensity 29.0, (2 2 2); 2θ 45.6, intensity 28.1, (6 2 -2)


No. 8
Theoretical X-ray powder pattern
Compound: LiDyCdBr6
Radiation: Cu Kα
Structure: DFT lattice parameters and positions (PBE)
Peak positions follow from Bragg's law for the DFT cell and can differ from measured ones.

Atomic structure:
```
data_LiDyCdBr6
_cell_length_a 7.0219
_cell_length_b 7.0219
_cell_length_c 12.8214
_cell_angle_alpha 90.00
_cell_angle_beta 90.00
_cell_angle_gamma 120.00
_symmetry_space_group_name_H-M 'P -3 1 c'
_symmetry_Int_Tables_number 163
_symmetry_space_group_name_Hall '-P 3 2c'
loop_
_atom_site_label
_atom_site_fract_x
_atom_site_fract_y
_atom_site_fract_z
Li1 0.0000 0.0000 0.0000
Dy1 0.3333 0.6667 0.2500
Cd1 0.3333 0.6667 0.7500
Br1 0.0008 0.3400 0.1251
```

Main lines, in order of rising 2θ (10 to 90 degrees two-theta):
2θ 13.8, intensity 27.2, (0 0 2); 2θ 14.6, intensity 20.4, (1 0 0); 2θ 29.0, intensity 100.0, (1 1 2); 2θ 38.0, intensity 52.4, (1 1 4); 2θ 44.7, intensity 35.3, (3 0 0); 2θ 50.0, intensity 21.4, (2 -1 6)


No. 9
Theoretical X-ray powder pattern
Compound: Eu2CdBr
Radiation: Cu Kα
Structure: DFT lattice parameters and positions (PBE)
Peak positions follow from Bragg's law for the DFT cell and can differ from measured ones.

Atomic structure:
```
data_Eu2CdBr
_cell_length_a 4.2115
_cell_length_b 4.2115
_cell_length_c 25.9743
_cell_angle_alpha 90.00
_cell_angle_beta 90.00
_cell_angle_gamma 120.00
_symmetry_space_group_name_H-M 'R -3 m'
_symmetry_Int_Tables_number 166
_symmetry_space_group_name_Hall '-R 3 2"'
loop_
_atom_site_label
_atom_site_fract_x
_atom_site_fract_y
_atom_site_fract_z
Eu1 0.0000 0.0000 0.2484
Cd1 0.0000 0.0000 0.0000
Br1 0.0000 0.0000 0.5000
```

Main lines, in order of rising 2θ (10 to 90 degrees two-theta):
2θ 28.1, intensity 100.0, (1 0 4); 2θ 37.1, intensity 47.6, (0 1 8); 2θ 43.0, intensity 31.4, (1 1 0); 2θ 52.1, intensity 17.7, (0 2 4); 2θ 61.4, intensity 21.2, (1 1 12); 2θ 69.7, intensity 14.8, (2 1 4)


No. 10
Theoretical X-ray powder pattern
Compound: CdBrF
Radiation: Cu Kα
Structure: DFT lattice parameters and positions (PBE)
Peak positions follow from Bragg's law for the DFT cell and can differ from measured ones.

Atomic structure:
```
data_CdBrF
_cell_length_a 3.851
_cell_length_b 6.399
_cell_length_c 6.955
_cell_angle_alpha 65.66
_cell_angle_beta 89.66
_cell_angle_gamma 90.00
_symmetry_space_group_name_H-M 'P -1'
_symmetry_Int_Tables_number 2
loop_
_symmetry_equiv_pos_as_xyz
'x,y,z'
'-x,-y,-z'
loop_
_atom_site_label
_atom_site_fract_x
_atom_site_fract_y
_atom_site_fract_z
Cd1 0.250 0.236 0.009
Br1 0.253 0.691 0.730
F1 0.249 0.847 0.133
```

Main lines, in order of rising 2θ (10 to 90 degrees two-theta):
2θ 14.0, intensity 100.0, (0 0 1); 2θ 28.1, intensity 64.0, (-1 1 1); 2θ 30.7, intensity 35.7, (0 2 0); 2θ 34.9, intensity 29.4, (1 1 2); 2θ 35.1, intensity 28.5, (-1 1 2); 2θ 49.1, intensity 27.4, (-1 3 1)


No. 11
Theoretical X-ray powder pattern
Compound: Cd2BrF
Radiation: Cu Kα
Structure: DFT lattice parameters and positions (PBE)
Peak positions follow from Bragg's law for the DFT cell and can differ from measured ones.

Atomic structure:
```
data_Cd2BrF
_cell_length_a 5.318
_cell_length_b 5.318
_cell_length_c 15.209
_cell_angle_alpha 90.00
_cell_angle_beta 90.00
_cell_angle_gamma 90.00
_symmetry_space_group_name_H-M 'I -4 2 d'
_symmetry_Int_Tables_number 122
_symmetry_space_group_name_Hall 'I -4 2bw'
loop_
_atom_site_label
_atom_site_fract_x
_atom_site_fract_y
_atom_site_fract_z
Cd1 0.138 0.250 0.125
Br1 0.000 0.000 0.500
F1 0.000 0.000 0.000
```

Main lines, in order of rising 2θ (10 to 90 degrees two-theta):
2θ 24.3, intensity 42.1, (1 0 3); 2θ 26.4, intensity 100.0, (1 1 2); 2θ 38.3, intensity 48.5, (2 1 1); 2θ 41.4, intensity 39.2, (2 0 4); 2θ 42.0, intensity 19.1, (2 1 3); 2θ 43.0, intensity 26.1, (1 1 6)


No. 12
Theoretical X-ray powder pattern
Compound: CdBrF
Radiation: Cu Kα
Structure: DFT lattice parameters and positions (PBE)
Peak positions follow from Bragg's law for the DFT cell and can differ from measured ones.

Atomic structure:
```
data_CdBrF
_cell_length_a 6.259
_cell_length_b 3.806
_cell_length_c 6.406
_cell_angle_alpha 90.00
_cell_angle_beta 99.40
_cell_angle_gamma 90.00
_symmetry_space_group_name_H-M 'P 1 2/m 1'
_symmetry_Int_Tables_number 10
loop_
_symmetry_equiv_pos_as_xyz
'x,y,z'
'-x,-y,-z'
'-x,y,-z'
'x,-y,z'
loop_
_atom_site_label
_atom_site_fract_x
_atom_site_fract_y
_atom_site_fract_z
Cd1 0.000 0.000 0.000
Cd2 0.000 0.500 0.500
Br1 0.279 0.000 0.712
F1 0.142 0.500 0.193
```

Main lines, in order of rising 2θ (10 to 90 degrees two-theta):
2θ 14.3, intensity 100.0, (1 0 0); 2θ 27.4, intensity 26.5, (0 1 1); 2θ 29.6, intensity 38.5, (1 0 -2); 2θ 32.1, intensity 96.2, (1 1 1); 2θ 38.4, intensity 28.8, (2 1 -1); 2θ 49.5, intensity 43.4, (0 1 3)


No. 13
Theoretical X-ray powder pattern
Compound: CdBrF
Radiation: Cu Kα
Structure: DFT lattice parameters and positions (PBE)
Peak positions follow from Bragg's law for the DFT cell and can differ from measured ones.

Atomic structure:
```
data_CdBrF
_cell_length_a 6.871
_cell_length_b 6.214
_cell_length_c 7.369
_cell_angle_alpha 90.00
_cell_angle_beta 122.02
_cell_angle_gamma 90.00
_symmetry_space_group_name_H-M 'P 1 21/c 1'
_symmetry_Int_Tables_number 14
loop_
_symmetry_equiv_pos_as_xyz
'x,y,z'
'-x,-y,-z'
'-x,y+1/2,-z+1/2'
'x,-y+1/2,z+1/2'
loop_
_atom_site_label
_atom_site_fract_x
_atom_site_fract_y
_atom_site_fract_z
Cd1 0.209 0.151 0.244
Br1 0.333 0.543 0.130
F1 0.080 0.101 0.889
```

Main lines, in order of rising 2θ (10 to 90 degrees two-theta):
2θ 20.2, intensity 63.4, (1 1 -1); 2θ 20.9, intensity 91.1, (1 1 0); 2θ 28.2, intensity 59.4, (1 1 -2); 2θ 29.8, intensity 71.0, (2 1 -1); 2θ 32.2, intensity 100.0, (0 2 1); 2θ 40.2, intensity 65.1, (1 1 -3)